The following is a theoretical PXRD pattern of Tm3Ru. It was derived from a GGA-PBE-relaxed structure, using CuKα.

Top 6 peaks for 10 to 90 degrees two-theta, most intense first:
31.79 deg, I = 100.0; 35.52 deg, I = 58.7; 33.09 deg, I = 30.2; 37.25 deg, I = 24.5; 56.65 deg, I = 21.7; 34.93 deg, I = 20.9

Unit cell a=11.487 b=11.487 c=6.002 alpha=90.00 beta=90.00 gamma=90.00
Space group I-42m (No. 121)
Inequivalent atoms, fractional coordinates:
Tm1 0.000 0.358 0.000 (multiplicity 8)
Tm2 0.096 0.096 0.740 (multiplicity 8)
Tm3 0.203 0.203 0.295 (multiplicity 8)
Ru1 0.000 0.288 0.500 (multiplicity 8)

***

The following is a theoretical PXRD pattern of Li2Zr2In3. It was derived from a GGA-PBE-relaxed structure, using CuKα.

Top 6 peaks for 10 to 90 degrees two-theta, most intense first:
35.62 deg, I = 100.0; 35.96 deg, I = 74.2; 39.09 deg, I = 56.5; 29.04 deg, I = 42.4; 57.02 deg, I = 36.3; 39.80 deg, I = 31.4

Unit cell a=4.529 b=20.953 c=3.066 alpha=90.00 beta=90.00 gamma=90.00
Space group Cmmm (No. 65)
Inequivalent atoms, fractional coordinates:
Li1 0.000 0.215 0.000 (multiplicity 4)
Zr1 0.000 0.075 0.000 (multiplicity 4)
In1 0.000 0.346 0.500 (multiplicity 4)
In2 0.000 0.500 0.500 (multiplicity 2)